Theoretical X-ray diffraction stick pattern of SrAl2Ga4 for Cu Kα X-rays, from a cell relaxed with PBE.
Lines closer than 0.1° are merged.

Top 12 peaks for 2θ from 10° to 80°, in order of falling intensity:
| two_theta | d_spacing | I/Imax |
| --- | --- | --- |
| 31.36 | 2.853 | 100 |
| 34.81 | 2.577 | 31 |
| 45.19 | 2.006 | 31 |
| 41.39 | 2.181 | 29 |
| 26.74 | 3.334 | 29 |
| 42.26 | 2.138 | 27 |
| 44.84 | 2.021 | 18 |
| 60.64 | 1.527 | 18 |
| 55.87 | 1.646 | 16 |
| 63.31 | 1.469 | 13 |
| 21.51 | 4.131 | 13 |
| 35.07 | 2.559 | 13 |

Atomic structure:
```
SrAl2Ga4
1.0
4.2769 0.0000 0.0000
0.0000 4.3629 0.0000
0.0000 0.0000 15.9673
Sr Al Ga
2 4 8
direct
0.0000 0.0000 0.0000 Sr
0.5000 0.5000 0.5000 Sr
0.0000 0.5000 0.1740 Al
0.0000 0.5000 0.8260 Al
0.5000 0.0000 0.3260 Al
0.5000 0.0000 0.6740 Al
0.0000 0.0000 0.4204 Ga
0.0000 0.0000 0.5796 Ga
0.0000 0.5000 0.3312 Ga
0.0000 0.5000 0.6688 Ga
0.5000 0.0000 0.1688 Ga
0.5000 0.0000 0.8312 Ga
0.5000 0.5000 0.0796 Ga
0.5000 0.5000 0.9204 Ga
```